Calculated X-ray powder pattern of ErCu5Sn for Cu Kα, 1.54184 Å, from DFT lattice parameters and positions (GGA-PBE).

Structural model:
a b c (Å): 8.185 4.988 10.535
angles (deg): 90.00 90.00 90.00
Fractional positions:
Er1 0.248 0.250 0.063
Er2 0.252 0.750 0.563
Er3 0.748 0.250 0.437
Er4 0.752 0.750 0.937
Cu1 0.059 0.750 0.101
Cu2 0.065 0.002 0.313
Cu3 0.065 0.498 0.313
Cu4 0.087 0.250 0.518
Cu5 0.187 0.250 0.745
Cu6 0.313 0.750 0.245
Cu7 0.413 0.750 0.018
Cu8 0.435 0.502 0.813
Cu9 0.435 0.998 0.813
Cu10 0.441 0.250 0.601
Cu11 0.559 0.750 0.399
Cu12 0.565 0.002 0.187
Cu13 0.565 0.498 0.187
Cu14 0.587 0.250 0.982
Cu15 0.687 0.250 0.755
Cu16 0.813 0.750 0.255
Cu17 0.913 0.750 0.482
Cu18 0.935 0.502 0.687
Cu19 0.935 0.998 0.687
Cu20 0.941 0.250 0.899
Sn1 0.140 0.750 0.861
Sn2 0.360 0.250 0.361
Sn3 0.640 0.750 0.639
Sn4 0.860 0.250 0.139

Most intense lines, 15° ≤ 2θ ≤ 90°, sorted by position:
2θ = 31.1°, I = 35; 2θ = 35.8°, I = 48; 2θ = 36.0°, I = 40; 2θ = 38.3°, I = 80; 2θ = 38.6°, I = 100; 2θ = 43.3°, I = 34; 2θ = 44.8°, I = 45; 2θ = 46.0°, I = 42; 2θ = 66.4°, I = 36; 2θ = 71.2°, I = 25

***

Calculated X-ray powder pattern of Er2CuTc for Cu Kα, 1.54184 Å, from DFT lattice parameters and positions (GGA-PBE).

Structural model:
a b c (Å): 6.808 6.808 6.808
angles (deg): 90.00 90.00 90.00
Fractional positions:
Er1 0.250 0.250 0.250
Er2 0.250 0.250 0.750
Er3 0.250 0.750 0.250
Er4 0.250 0.750 0.750
Er5 0.750 0.250 0.250
Er6 0.750 0.250 0.750
Er7 0.750 0.750 0.250
Er8 0.750 0.750 0.750
Cu1 0.000 0.000 0.000
Cu2 0.000 0.500 0.500
Cu3 0.500 0.000 0.500
Cu4 0.500 0.500 0.000
Tc1 0.000 0.000 0.500
Tc2 0.000 0.500 0.000
Tc3 0.500 0.000 0.000
Tc4 0.500 0.500 0.500

Most intense lines, 15° ≤ 2θ ≤ 90°, sorted by position:
2θ = 22.6°, I = 1; 2θ = 26.2°, I = 13; 2θ = 37.4°, I = 100; 2θ = 46.2°, I = 4; 2θ = 53.9°, I = 17; 2θ = 60.9°, I = 5; 2θ = 67.4°, I = 35; 2θ = 79.7°, I = 11; 2θ = 85.6°, I = 3